(1)
Starting from a structure optimized by DFT (PBE), the PXRD pattern of Mg6TiB was computed for Cu Kα (λ = 1.5418 Å).

Principal peaks in the range 10° ≤ 2θ ≤ 80°, by angle:
2θ (°)	d [Å]	I/Imax	(hkl)
17.47	5.077	20.7	0 1 1
25.72	3.463	21.1	1 1 1
35.36	2.539	40.3	0 2 2
37.60	2.392	84.8	1 0 4
38.00	2.368	46.6	2 0 0
40.31	2.237	100.0	1 2 2
52.87	1.732	23.8	2 2 2
59.60	1.551	18.8	0 2 6
72.90	1.298	19.7	2 2 6
77.92	1.226	17.3	1 4 4

Structure:
```
data_Mg6TiB
_chemical_formula_sum 'Mg12 Ti2 B2'
_cell_length_a 4.7363
_cell_length_b 5.7114
_cell_length_c 11.0850
_cell_angle_alpha 90.00
_cell_angle_beta 90.00
_cell_angle_gamma 90.00
_symmetry_space_group_name_H-M 'A m m 2'
_symmetry_Int_Tables_number 38
_symmetry_space_group_name_Hall 'A 2 -2'
loop_
_atom_site_label
_atom_site_fract_x
_atom_site_fract_y
_atom_site_fract_z
Mg1 0.0000 0.0000 0.0000
Mg2 0.0000 0.0000 0.4794
Mg3 0.0000 0.2503 0.2518
Mg4 0.5000 0.2493 0.0985
Ti1 0.5000 0.0000 0.8489
B1 0.5000 0.0000 0.3289
```

(2)
Starting from a structure optimized by DFT (PBE), the PXRD pattern of ZnCu3Sn4O12 was computed for Cu Kα (λ = 1.5418 Å).

Principal peaks in the range 10° ≤ 2θ ≤ 80°, by angle:
2θ (°)	d [Å]	I/Imax	(hkl)
23.00	3.867	12.0	2 0 0
32.75	2.734	100.0	2 2 0
36.75	2.446	2.5	3 1 0
43.80	2.067	1.5	3 2 1
47.00	1.933	23.9	4 0 0
52.95	1.729	7.0	4 0 2
58.46	1.579	48.9	4 2 2
68.65	1.367	13.2	4 4 0
73.46	1.289	2.3	4 4 2
78.16	1.223	18.5	6 0 2

Structure:
```
data_ZnCu3Sn4O12
_chemical_formula_sum 'Zn2 Cu6 Sn8 O24'
_cell_length_a 7.7340
_cell_length_b 7.7340
_cell_length_c 7.7340
_cell_angle_alpha 90.00
_cell_angle_beta 90.00
_cell_angle_gamma 90.00
_symmetry_space_group_name_H-M 'I m -3'
_symmetry_Int_Tables_number 204
_symmetry_space_group_name_Hall '-I 2 2 3'
loop_
_atom_site_label
_atom_site_fract_x
_atom_site_fract_y
_atom_site_fract_z
Zn1 0.0000 0.0000 0.0000
Cu1 0.0000 0.0000 0.5000
Sn1 0.2500 0.2500 0.2500
O1 0.0000 0.1695 0.3077
```

(3)
Starting from a structure optimized by DFT (PBE), the PXRD pattern of NaNbO2 was computed for Cu Kα (λ = 1.5418 Å).

Principal peaks in the range 10° ≤ 2θ ≤ 80°, by angle:
2θ (°)	d [Å]	I/Imax	(hkl)
14.98	5.913	100.0	0 0 3
30.23	2.956	23.7	0 0 6
35.11	2.556	30.4	1 0 1
36.22	2.480	43.7	0 1 2
40.41	2.232	96.8	1 0 4
43.33	2.088	14.4	0 1 5
50.45	1.809	14.0	1 0 7
54.55	1.682	36.6	0 1 8
62.26	1.491	24.0	1 1 0
70.76	1.331	13.6	1 1 6

Structure:
```
data_NaNbO2
_chemical_formula_sum 'Na3 Nb3 O6'
_cell_length_a 2.9825
_cell_length_b 2.9825
_cell_length_c 17.7375
_cell_angle_alpha 90.00
_cell_angle_beta 90.00
_cell_angle_gamma 120.00
_symmetry_space_group_name_H-M 'R -3 m'
_symmetry_Int_Tables_number 166
_symmetry_space_group_name_Hall '-R 3 2"'
loop_
_atom_site_label
_atom_site_fract_x
_atom_site_fract_y
_atom_site_fract_z
Na1 0.0000 0.0000 0.0000
Nb1 0.0000 0.0000 0.5000
O1 0.0000 0.0000 0.2434
```

(4)
Starting from a structure optimized by DFT (PBE), the PXRD pattern of Er4MgCo was computed for Cu Kα (λ = 1.5418 Å).

Principal peaks in the range 10° ≤ 2θ ≤ 80°, by angle:
2θ (°)	d [Å]	I/Imax	(hkl)
11.46	7.722	17.4	1 1 1
29.10	3.068	59.6	3 3 1
32.80	2.730	67.7	4 2 2
34.86	2.574	100.0	5 1 1
38.06	2.364	28.8	4 4 0
48.62	1.873	11.7	5 5 1
56.30	1.634	20.6	7 3 3
58.56	1.576	60.3	6 6 0
59.89	1.544	14.4	5 5 5
69.99	1.344	13.0	7 5 5

Structure:
```
data_Er4MgCo
_chemical_formula_sum 'Er64 Mg16 Co16'
_cell_length_a 13.3745
_cell_length_b 13.3745
_cell_length_c 13.3745
_cell_angle_alpha 90.00
_cell_angle_beta 90.00
_cell_angle_gamma 90.00
_symmetry_space_group_name_H-M 'F -4 3 m'
_symmetry_Int_Tables_number 216
_symmetry_space_group_name_Hall 'F -4 2 3'
loop_
_atom_site_label
_atom_site_fract_x
_atom_site_fract_y
_atom_site_fract_z
Er1 0.0000 0.0000 0.1870
Er2 0.0624 0.2500 0.2500
Er3 0.1555 0.1555 0.6555
Mg1 0.0796 0.0796 0.4204
Co1 0.1404 0.1404 0.8596
```

(5)
Starting from a structure optimized by DFT (PBE), the PXRD pattern of LaOsN3 was computed for Cu Kα (λ = 1.5418 Å).

Principal peaks in the range 10° ≤ 2θ ≤ 80°, by angle:
2θ (°)	d [Å]	I/Imax	(hkl)
21.39	4.154	100.0	1 1 -1
21.67	4.100	35.1	0 2 1
26.21	3.400	40.0	1 2 -1
28.46	3.136	30.3	1 1 -2
29.22	3.056	29.9	0 3 1
31.96	2.801	46.0	1 2 1
32.68	2.740	30.7	1 3 0
37.50	2.399	25.1	0 4 1
40.56	2.224	30.1	0 1 3
48.66	1.871	28.3	1 5 0

Structure:
```
data_LaOsN3
_chemical_formula_sum 'La4 Os4 N12'
_cell_length_a 4.8437
_cell_length_b 10.2496
_cell_length_c 7.2184
_cell_angle_alpha 90.00
_cell_angle_beta 108.74
_cell_angle_gamma 90.00
_symmetry_space_group_name_H-M 'P 1 21/c 1'
_symmetry_Int_Tables_number 14
_symmetry_space_group_name_Hall '-P 2ybc'
loop_
_atom_site_label
_atom_site_fract_x
_atom_site_fract_y
_atom_site_fract_z
La1 0.2460 0.1666 0.0233
Os1 0.3095 0.5705 0.8490
N1 0.0164 0.1537 0.6631
N2 0.3034 0.5845 0.5953
N3 0.3829 0.1153 0.4049
```